Diffraction record for KSrSmWO6. The powder diffraction line list is computed, not measured: it uses a GGA+U-relaxed structure and copper Kα.
Lines closer than 0.1° are merged.

Largest 10 diffraction maxima, sorted by position, 2θ from 15° to 90°:
| two_theta | I/Imax |
| --- | --- |
| 20.91 | 36 |
| 29.75 | 100 |
| 42.57 | 31 |
| 47.89 | 16 |
| 52.80 | 40 |
| 61.78 | 19 |
| 65.98 | 8 |
| 70.06 | 18 |
| 77.92 | 6 |
| 85.55 | 22 |

Cell and atoms:
Lattice parameters (Å, degrees): 6.0067 6.0067 6.0067 60.00 60.00 60.00
Element x y z (fractional)
K 0.0000 0.0000 0.0000
Sr 0.5000 0.5000 0.5000
Sm 0.2500 0.2500 0.2500
W 0.7500 0.7500 0.7500
O 0.5200 0.5200 0.9800
O 0.5200 0.9800 0.5200
O 0.5200 0.9800 0.9800
O 0.9800 0.5200 0.5200
O 0.9800 0.5200 0.9800
O 0.9800 0.9800 0.5200